Structure and computed PXRD pattern of Pd8Au3 (a cell relaxed with GGA-PBE; Cu Kα, 1.54184 Å).

The 10 most intense peaks (10 to 80 degrees two-theta), in order of rising 2θ:
2theta	I/Imax
38.93	100
44.99	17
45.28	16
45.50	16
65.74	11
65.91	11
66.14	10
78.91	13
79.32	12
79.65	12

Structure:
Unit cell a=4.9201 b=4.9201 c=10.2166 alpha=103.69 beta=103.69 gamma=47.80
Fractional positions:
Pd 0.0450 0.0450 0.3186
Pd 0.1375 0.1375 0.9532
Pd 0.2278 0.2278 0.5905
Pd 0.3181 0.3181 0.2286
Pd 0.6819 0.6819 0.7714
Pd 0.7722 0.7722 0.4095
Pd 0.8625 0.8625 0.0468
Pd 0.9550 0.9550 0.6814
Au 0.4084 0.4084 0.8624
Au 0.5000 0.5000 0.5000
Au 0.5916 0.5916 0.1376